No. 1
This entry pairs a crystal structure of Zn3PH3Se2O11 with its simulated PXRD pattern. Radiation: Cu Ka. Structure: a structure optimized by DFT (GGA-PBE).
Intensities are scaled so that the largest is 100.

Atomic structure:
abc: 7.7850 7.9977 8.6592
angles: 66.74 69.00 69.90
Positions (direct):
Zn 0.0000 0.0000 0.0000
Zn 0.0296 0.6709 0.8006
Zn 0.1685 0.3093 0.5796
Zn 0.5000 0.5000 0.5000
Zn 0.8315 0.6907 0.4204
Zn 0.9704 0.3291 0.1994
P 0.3225 0.2450 0.8892
P 0.6775 0.7550 0.1108
H 0.1263 0.9562 0.3027
H 0.1892 0.0472 0.4054
H 0.4039 0.8968 0.0183
H 0.5961 0.1032 0.9817
H 0.8108 0.9528 0.5946
H 0.8737 0.0438 0.6973
Se 0.2176 0.5717 0.2073
Se 0.3510 0.8411 0.6869
Se 0.6490 0.1589 0.3131
Se 0.7824 0.4283 0.7927
O 0.0419 0.4443 0.3326
O 0.0645 0.7827 0.2361
O 0.1436 0.0722 0.3026
O 0.1550 0.8159 0.8694
O 0.1596 0.3947 0.9560
O 0.2697 0.0542 0.9624
O 0.2800 0.0581 0.5446
O 0.2948 0.7039 0.6084
O 0.3239 0.4843 0.3749
O 0.3688 0.3002 0.6893
O 0.4979 0.2340 0.9451
O 0.5021 0.7660 0.0549
O 0.6312 0.6998 0.3107
O 0.6761 0.5157 0.6251
O 0.7052 0.2961 0.3916
O 0.7200 0.9419 0.4554
O 0.7303 0.9458 0.0376
O 0.8404 0.6053 0.0440
O 0.8450 0.1841 0.1306
O 0.8564 0.9278 0.6974
O 0.9355 0.2173 0.7639
O 0.9581 0.5557 0.6674

Most intense lines, 2θ = 5–70°, by angle:
2θ (°)	intensity
12.40	39.7
12.53	35.7
14.68	74.3
22.53	30.6
29.04	75.0
31.02	90.9
31.11	100.0
32.07	62.7
33.29	46.1
36.90	60.5

No. 2
This entry pairs a crystal structure of SrTm2P2H4O10 with its simulated PXRD pattern. Radiation: Cu Ka. Structure: a structure optimized by DFT (GGA-PBE).
Intensities are scaled so that the largest is 100.

Atomic structure:
abc: 5.5244 5.5244 7.9056
angles: 110.02 110.02 67.88
Positions (direct):
Sr 0.0000 0.0000 0.0000
Tm 0.0000 0.5000 0.5000
Tm 0.5000 0.0000 0.5000
P 0.4175 0.4175 0.2033
P 0.5825 0.5825 0.7967
H 0.0524 0.0524 0.6511
H 0.2313 0.2313 0.8150
H 0.7687 0.7687 0.1850
H 0.9476 0.9476 0.3489
O 0.1673 0.1673 0.6700
O 0.2706 0.6787 0.7632
O 0.2794 0.2794 0.0106
O 0.3213 0.7294 0.2368
O 0.3377 0.3377 0.3455
O 0.6623 0.6623 0.6545
O 0.6787 0.2706 0.7632
O 0.7206 0.7206 0.9894
O 0.7294 0.3213 0.2368
O 0.8327 0.8327 0.3300

Most intense lines, 2θ = 5–70°, by angle:
2θ (°)	intensity
12.29	100.0
19.69	77.4
24.73	36.9
25.13	43.0
28.81	72.6
31.56	84.5
35.26	48.0
36.21	35.5
38.70	52.8
48.03	31.9

No. 3
This entry pairs a crystal structure of ZnPH3O5 with its simulated PXRD pattern. Radiation: Cu Ka. Structure: a structure optimized by DFT (GGA-PBE).
Intensities are scaled so that the largest is 100.

Atomic structure:
abc: 6.3541 7.5740 12.1617
angles: 73.71 81.58 80.90
Positions (direct):
Zn 0.0039 0.0801 0.3036
Zn 0.1403 0.6733 0.9437
Zn 0.3484 0.8876 0.0914
Zn 0.6516 0.1124 0.9086
Zn 0.8597 0.3267 0.0563
Zn 0.9961 0.9199 0.6964
P 0.1456 0.1352 0.8627
P 0.3205 0.6888 0.3688
P 0.3500 0.2905 0.1173
P 0.6500 0.7095 0.8827
P 0.6795 0.3112 0.6312
P 0.8544 0.8648 0.1373
H 0.0012 0.7881 0.5183
H 0.1701 0.5145 0.7697
H 0.1768 0.3142 0.3868
H 0.2703 0.0065 0.5091
H 0.2921 0.2916 0.6900
H 0.3457 0.6556 0.7534
H 0.3582 0.5098 0.2178
H 0.3612 0.4073 0.5031
H 0.3729 0.0508 0.6042
H 0.6271 0.9492 0.3958
H 0.6388 0.5927 0.4969
H 0.6418 0.4902 0.7822
H 0.6543 0.3444 0.2466
H 0.7079 0.7084 0.3100
H 0.7297 0.9935 0.4909
H 0.8232 0.6858 0.6132
H 0.8299 0.4855 0.2303
H 0.9988 0.2119 0.4817
O 0.0661 0.8111 0.0690
O 0.1026 0.2024 0.4112
O 0.1353 0.8287 0.3979
O 0.1399 0.9645 0.8201
O 0.1603 0.4091 0.0549
O 0.1687 0.3096 0.7541
O 0.1908 0.6405 0.7757
O 0.2671 0.4895 0.4400
O 0.2885 0.0948 0.1802
O 0.3028 0.9532 0.5895
O 0.3303 0.1049 0.9365
O 0.3467 0.6865 0.2416
O 0.3878 0.3690 0.2204
O 0.4435 0.7084 0.9654
O 0.4645 0.2765 0.5984
O 0.5355 0.7235 0.4016
O 0.5565 0.2916 0.0346
O 0.6122 0.6310 0.7796
O 0.6533 0.3135 0.7584
O 0.6697 0.8951 0.0635
O 0.6972 0.0468 0.4105
O 0.7115 0.9052 0.8198
O 0.7329 0.5105 0.5600
O 0.8092 0.3595 0.2243
O 0.8313 0.6904 0.2459
O 0.8397 0.5909 0.9451
O 0.8601 0.0355 0.1799
O 0.8647 0.1713 0.6021
O 0.8974 0.7976 0.5888
O 0.9339 0.1889 0.9310

Most intense lines, 2θ = 5–70°, by angle:
2θ (°)	intensity
7.62	100.0
12.27	16.0
17.61	11.3
20.74	12.6
25.41	14.3
26.25	19.4
29.06	8.8
30.47	12.0
32.50	17.2
34.07	9.5

No. 4
This entry pairs a crystal structure of ZnP2H6O5 with its simulated PXRD pattern. Radiation: Cu Ka. Structure: a structure optimized by DFT (GGA-PBE).
Intensities are scaled so that the largest is 100.

Atomic structure:
abc: 7.6094 7.2530 10.4143
angles: 90.00 104.30 90.00
Positions (direct):
Zn 0.1947 0.0409 0.1003
Zn 0.1947 0.4591 0.6003
Zn 0.8053 0.5409 0.3997
Zn 0.8053 0.9591 0.8997
P 0.0310 0.1783 0.3439
P 0.0310 0.3217 0.8439
P 0.4661 0.1125 0.6859
P 0.4661 0.3875 0.1859
P 0.5339 0.6125 0.8141
P 0.5339 0.8875 0.3141
P 0.9690 0.6783 0.1561
P 0.9690 0.8217 0.6561
H 0.1292 0.5785 0.1590
H 0.1292 0.9215 0.6590
H 0.1726 0.0642 0.4135
H 0.1726 0.4358 0.9135
H 0.1811 0.6990 0.4140
H 0.1811 0.8010 0.9140
H 0.3868 0.5453 0.1138
H 0.3868 0.9547 0.6138
H 0.3878 0.1203 0.7960
H 0.3878 0.3797 0.2960
H 0.3955 0.6646 0.4553
H 0.3955 0.8354 0.9553
H 0.6045 0.1646 0.0447
H 0.6045 0.3354 0.5447
H 0.6122 0.6203 0.7040
H 0.6122 0.8797 0.2040
H 0.6132 0.0453 0.3862
H 0.6132 0.4547 0.8862
H 0.8189 0.1990 0.0860
H 0.8189 0.3010 0.5860
H 0.8274 0.5642 0.0865
H 0.8274 0.9358 0.5865
H 0.8708 0.0785 0.3410
H 0.8708 0.4215 0.8410
O 0.0298 0.1472 0.9264
O 0.0298 0.3528 0.4264
O 0.0467 0.2110 0.2023
O 0.0467 0.2890 0.7023
O 0.2844 0.6652 0.4885
O 0.2844 0.8348 0.9885
O 0.3296 0.5883 0.7703
O 0.3296 0.9117 0.2703
O 0.4085 0.2161 0.0991
O 0.4085 0.2839 0.5991
O 0.5915 0.7161 0.4009
O 0.5915 0.7839 0.9009
O 0.6704 0.0883 0.7297
O 0.6704 0.4117 0.2297
O 0.7156 0.1652 0.0115
O 0.7156 0.3348 0.5115
O 0.9533 0.7110 0.2977
O 0.9533 0.7890 0.7977
O 0.9702 0.6472 0.5736
O 0.9702 0.8528 0.0736

Most intense lines, 2θ = 5–70°, by angle:
2θ (°)	intensity
15.04	86.7
17.87	100.0
18.70	48.8
26.74	24.2
29.75	28.4
30.40	32.8
31.03	35.1
33.67	24.9
34.24	22.6
34.70	22.1

No. 5
This entry pairs a crystal structure of ZnP2H8O10 with its simulated PXRD pattern. Radiation: Cu Ka. Structure: a structure optimized by DFT (GGA-PBE).
Intensities are scaled so that the largest is 100.

Atomic structure:
abc: 6.3654 6.7141 9.4017
angles: 88.88 89.52 74.02
Positions (direct):
Zn 0.0000 0.0000 0.0000
Zn 0.0845 0.4265 0.0668
P 0.1879 0.7091 0.2464
P 0.3824 0.6481 0.7086
P 0.5101 0.9037 0.3628
P 0.6933 0.8686 0.7910
H 0.0297 0.1068 0.8029
H 0.0438 0.3398 0.5654
H 0.0883 0.5702 0.7701
H 0.1099 0.2958 0.6295
H 0.1160 0.0145 0.3522
H 0.1281 0.1339 0.8385
H 0.2509 0.9144 0.5556
H 0.4597 0.9504 0.0279
H 0.5703 0.3033 0.9933
H 0.6432 0.6443 0.5152
H 0.7620 0.5953 0.1702
H 0.7638 0.6810 0.1179
H 0.7736 0.5465 0.7114
H 0.7884 0.9980 0.2779
H 0.7918 0.3088 0.4226
H 0.7949 0.3325 0.3445
O 0.0357 0.9392 0.2864
O 0.1031 0.5759 0.3644
O 0.1252 0.7134 0.0863
O 0.2065 0.8056 0.6190
O 0.2522 0.5258 0.7963
O 0.2690 0.4389 0.2586
O 0.3118 0.0402 0.4358
O 0.3145 0.0426 0.0544
O 0.3253 0.2314 0.9748
O 0.4242 0.7410 0.2682
O 0.4766 0.7718 0.8227
O 0.5569 0.0509 0.6885
O 0.5704 0.5143 0.6234
O 0.6237 0.0255 0.2626
O 0.6855 0.3775 0.9742
O 0.6892 0.7588 0.4552
O 0.7361 0.9158 0.9446
O 0.8102 0.0143 0.6873
O 0.8545 0.6445 0.7506
O 0.8594 0.2755 0.0763

Most intense lines, 2θ = 5–70°, by angle:
2θ (°)	intensity
9.41	89.6
13.72	45.3
16.80	13.4
17.31	100.0
22.61	17.5
23.62	42.1
23.89	30.8
28.49	23.3
33.23	13.9
34.37	20.9